For Ac3La2Pt2, a structure optimized by DFT (GGA-PBE) gives the calculated PXRD pattern in this record (Cu Kα (weighted mean of Kα1 and Kα2)).
Neutral-atom scattering factors, no anomalous dispersion.

Most intense lines, 2θ from 5° to 70°, sorted by position:
14.5 deg, rel. 45
28.2 deg, rel. 40
29.2 deg, rel. 65
29.9 deg, rel. 96
30.5 deg, rel. 40
32.1 deg, rel. 100
32.7 deg, rel. 49
34.4 deg, rel. 33
36.4 deg, rel. 44
44.0 deg, rel. 39
53.7 deg, rel. 39
54.4 deg, rel. 27

Atomic structure:
```
data_Ac3La2Pt2
_symmetry_space_group_name_H-M 'P -1'
_symmetry_Int_Tables_number 2
_cell_length_a 4.1125
_cell_length_b 6.9078
_cell_length_c 9.3033
_cell_angle_alpha 107.74
_cell_angle_beta 90.01
_cell_angle_gamma 107.28
loop_
_symmetry_equiv_pos_as_xyz
'x,y,z'
'-x,-y,-z'
loop_
_atom_site_label
_atom_site_fract_x
_atom_site_fract_y
_atom_site_fract_z
Ac1 0.0000 0.0000 0.0000
Ac2 0.1246 0.2463 0.4259
La1 0.3282 0.6560 0.1931
Pt1 0.3323 0.6645 0.8160
```